No. 1
Calculated PXRD pattern of Ac2CoSn2 for Cu Kα X-rays, from a cell relaxed with PBE.
No peak broadening, texture or thermal motion is included.

Peak list (10 most intense, 2θ = 10–80°, by angle)
2theta  I_rel  h k l
21.2  23  1 0 3
26.9  75  1 1 2
28.7  35  0 0 8
33.8  100  1 1 6
36.9  60  2 0 0
44.9  18  1 1 10
47.4  36  2 0 8
53.2  21  2 2 0
58.4  18  1 1 14
64.6  32  3 1 6

Structural model:
```
data_Ac2CoSn2
_space_group_name_H-M_alt 'I 41/a m d'
_space_group_IT_number 141
_cell_length_a 4.8657
_cell_length_b 4.8657
_cell_length_c 24.9144
_cell_angle_alpha 90.00
_cell_angle_beta 90.00
_cell_angle_gamma 90.00
loop_
_space_group_symop_operation_xyz
'x,y,z'
'-x,-y,-z'
'-y+1/4,x+3/4,z+1/4'
'y+1/4,-x+3/4,-z+1/4'
'-x+1/2,-y,z+1/2'
'x+1/2,y,-z+1/2'
'y+1/4,-x+1/4,z+3/4'
'-y+1/4,x+1/4,-z+3/4'
'x,-y,-z'
'-x,y,z'
'-y+1/4,-x+1/4,-z+3/4'
'y+1/4,x+1/4,z+3/4'
'-x+1/2,y,-z+1/2'
'x+1/2,-y,z+1/2'
'y+1/4,x+3/4,-z+1/4'
'-y+1/4,-x+3/4,z+1/4'
'x+1/2,y+1/2,z+1/2'
'-x+1/2,-y+1/2,-z+1/2'
'-y+3/4,x+1/4,z+3/4'
'y+3/4,-x+1/4,-z+3/4'
'-x,-y+1/2,z'
'x,y+1/2,-z'
'y+3/4,-x+3/4,z+1/4'
'-y+3/4,x+3/4,-z+1/4'
'x+1/2,-y+1/2,-z+1/2'
'-x+1/2,y+1/2,z+1/2'
'-y+3/4,-x+3/4,-z+1/4'
'y+3/4,x+3/4,z+1/4'
'-x,y+1/2,-z'
'x,-y+1/2,z'
'y+3/4,x+1/4,-z+3/4'
'-y+3/4,-x+1/4,z+3/4'
loop_
_atom_site_label
_atom_site_type_symbol
_atom_site_fract_x
_atom_site_fract_y
_atom_site_fract_z
Ac1 Ac 0.0000 0.2500 0.0625
Co1 Co 0.0000 0.2500 0.3750
Sn1 Sn 0.0000 0.2500 0.1999
```

---

No. 2
Calculated PXRD pattern of Ac2CoSn3 for Cu Kα X-rays, from a cell relaxed with PBE.
No peak broadening, texture or thermal motion is included.

Peak list (10 most intense, 2θ = 10–80°, by angle)
2theta  I_rel  h k l
21.9  11  0 1 1
29.1  100  1 1 1
29.4  43  1 0 2
38.2  21  0 2 0
38.7  52  2 0 0
48.9  21  1 2 2
55.4  14  2 2 0
55.8  22  2 1 3
63.5  12  1 3 1
64.2  18  3 1 1

Structural model:
```
data_Ac2CoSn3
_space_group_name_H-M_alt 'P m m 2'
_space_group_IT_number 25
_cell_length_a 4.6610
_cell_length_b 4.7169
_cell_length_c 8.0231
_cell_angle_alpha 90.00
_cell_angle_beta 90.00
_cell_angle_gamma 90.00
loop_
_space_group_symop_operation_xyz
'x,y,z'
'-x,-y,z'
'-x,y,z'
'x,-y,z'
loop_
_atom_site_label
_atom_site_type_symbol
_atom_site_fract_x
_atom_site_fract_y
_atom_site_fract_z
Ac1 Ac 0.0000 0.0000 0.0000
Ac2 Ac 0.0000 0.5000 0.4713
Co1 Co 0.5000 0.0000 0.2792
Sn1 Sn 0.5000 0.0000 0.5957
Sn2 Sn 0.5000 0.5000 0.1698
Sn3 Sn 0.5000 0.5000 0.8088
```

---

No. 3
Calculated PXRD pattern of Ac6CoSn for Cu Kα X-rays, from a cell relaxed with PBE.
No peak broadening, texture or thermal motion is included.

Peak list (10 most intense, 2θ = 10–80°, by angle)
2theta  I_rel  h k l
22.8  28  2 0 -1
26.0  22  0 0 2
26.5  42  1 3 0
27.0  48  1 1 -2
27.9  40  2 2 -1
28.1  59  2 0 1
28.4  36  1 3 -1
30.7  100  1 3 1
33.8  35  3 1 -1
53.1  27  3 5 -1

Structural model:
```
data_Ac6CoSn
_space_group_name_H-M_alt 'C 1 2/m 1'
_space_group_IT_number 12
_cell_length_a 8.3155
_cell_length_b 11.1082
_cell_length_c 7.0383
_cell_angle_alpha 90.00
_cell_angle_beta 103.49
_cell_angle_gamma 90.00
loop_
_space_group_symop_operation_xyz
'x,y,z'
'-x,-y,-z'
'-x,y,-z'
'x,-y,z'
'x+1/2,y+1/2,z'
'-x+1/2,-y+1/2,-z'
'-x+1/2,y+1/2,-z'
'x+1/2,-y+1/2,z'
loop_
_atom_site_label
_atom_site_type_symbol
_atom_site_fract_x
_atom_site_fract_y
_atom_site_fract_z
Ac1 Ac 0.1318 0.1811 0.2768
Ac2 Ac 0.2176 0.5000 0.1394
Co1 Co 0.0000 0.0000 0.0000
Sn1 Sn 0.0000 0.5000 0.5000
```

---

No. 4
Calculated PXRD pattern of AcTb4Co for Cu Kα X-rays, from a cell relaxed with PBE.
No peak broadening, texture or thermal motion is included.

Peak list (10 most intense, 2θ = 10–80°, by angle)
2theta  I_rel  h k l
16.0  19  1 0 -1
26.2  33  0 1 1
29.1  36  2 0 -1
29.3  19  2 0 0
30.0  45  0 0 3
31.0  82  1 1 1
33.2  100  1 1 -2
38.7  19  2 0 2
49.6  18  0 2 0
52.5  20  1 1 4

Structural model:
```
data_AcTb4Co
_space_group_name_H-M_alt 'P 1 2/m 1'
_space_group_IT_number 10
_cell_length_a 6.2142
_cell_length_b 3.6740
_cell_length_c 9.1007
_cell_angle_alpha 90.00
_cell_angle_beta 100.82
_cell_angle_gamma 90.00
loop_
_space_group_symop_operation_xyz
'x,y,z'
'-x,-y,-z'
'-x,y,-z'
'x,-y,z'
loop_
_atom_site_label
_atom_site_type_symbol
_atom_site_fract_x
_atom_site_fract_y
_atom_site_fract_z
Ac1 Ac 0.0000 0.0000 0.0000
Tb1 Tb 0.1109 0.5000 0.3498
Tb2 Tb 0.4043 0.0000 0.6972
Co1 Co 0.5000 0.5000 0.5000
```